# 1
Starting from a structure optimized by DFT (PBE), the powder X-ray diffraction pattern of TbPm7Sc3 was calculated for Cu Ka.
Intensities are scaled so that the largest is 100.

Structural model:
Unit cell a=8.3351 b=8.3351 c=8.3351 alpha=139.16 beta=99.63 gamma=94.37
Positions (direct):
Tb 0.0000 0.0000 0.0000
Pm 0.0000 0.5000 0.5000
Pm 0.1018 0.2903 0.8115
Pm 0.3036 0.0000 0.3036
Pm 0.4788 0.2903 0.1885
Pm 0.5212 0.7097 0.8115
Pm 0.6964 0.0000 0.6964
Pm 0.8982 0.7097 0.1885
Sc 0.2894 0.7894 0.5000
Sc 0.5000 0.5000 0.0000
Sc 0.7106 0.2106 0.5000

Top 6 peaks for 2θ from 5° to 70°, by angle:
| two_theta | intensity |
| --- | --- |
| 26.07 | 45.5 |
| 28.17 | 35.3 |
| 30.75 | 67.9 |
| 31.59 | 36.5 |
| 32.82 | 50.5 |
| 33.34 | 100.0 |

***

# 2
Starting from a structure optimized by DFT (PBE), the powder X-ray diffraction pattern of Ag2Sn2Au3 was calculated for Cu Ka.
Intensities are scaled so that the largest is 100.

Structural model:
Unit cell a=4.2812 b=5.0890 c=7.1051 alpha=82.85 beta=86.46 gamma=66.11
Positions (direct):
Ag 0.1504 0.2113 0.4355
Ag 0.8496 0.7887 0.5645
Sn 0.4201 0.6501 0.2646
Sn 0.5799 0.3499 0.7354
Au 0.0000 0.5000 0.0000
Au 0.2741 0.9316 0.8439
Au 0.7259 0.0684 0.1561

Top 6 peaks for 2θ from 5° to 70°, by angle:
| two_theta | intensity |
| --- | --- |
| 34.02 | 100.0 |
| 36.31 | 89.8 |
| 37.01 | 83.1 |
| 37.14 | 82.9 |
| 41.15 | 59.4 |
| 42.31 | 57.3 |